Entry 1:
Starting from the PBE geometry in the Materials Project, the powder XRD pattern of Zr2Ti3Pb5O15 was computed for Cu Kα X-rays.
No peak broadening, texture or thermal motion is included.

Cell and atoms:
abc: 5.9071 5.9071 25.6573
angles: 98.86 98.86 63.65
Atoms (fractional coordinates):
Zr: 0.0000 0.0000 0.0000
Zr: 0.6024 0.6024 0.7937
Ti: 0.1977 0.1977 0.5935
Ti: 0.3947 0.3947 0.2009
Ti: 0.7932 0.7932 0.3967
Pb: 0.1049 0.1049 0.4394
Pb: 0.3032 0.3032 0.0481
Pb: 0.5074 0.5074 0.6343
Pb: 0.7050 0.7050 0.2428
Pb: 0.9054 0.9054 0.8412
O: 0.0951 0.5763 0.2253
O: 0.1828 0.1828 0.5237
O: 0.1828 0.6762 0.0272
O: 0.2813 0.7858 0.8221
O: 0.3803 0.9018 0.6195
O: 0.3871 0.3871 0.1315
O: 0.4960 0.9755 0.4221
O: 0.5763 0.0951 0.2253
O: 0.5824 0.5824 0.7180
O: 0.6762 0.1828 0.0272
O: 0.7836 0.7836 0.3270
O: 0.7858 0.2813 0.8221
O: 0.9018 0.3803 0.6195
O: 0.9755 0.4960 0.4221
O: 0.9844 0.9844 0.9245

Main lines, low angle first (2θ from 5° to 70°):
d = 5.041 Å, 17.59°, intensity 100
d = 4.687 Å, 18.94°, intensity 20
d = 4.282 Å, 20.74°, intensity 19
d = 3.118 Å, 28.63°, intensity 33
d = 2.946 Å, 30.34°, intensity 33
d = 2.596 Å, 34.55°, intensity 19
d = 2.494 Å, 36.00°, intensity 12
d = 2.020 Å, 44.88°, intensity 17
d = 1.947 Å, 46.64°, intensity 12
d = 1.765 Å, 51.80°, intensity 14

---

Entry 2:
Starting from the PBE geometry in the Materials Project, the powder XRD pattern of CaI2O12 was computed for Cu Kα X-rays.
No peak broadening, texture or thermal motion is included.

Cell and atoms:
abc: 14.3656 8.2371 15.7706
angles: 64.90 31.28 83.81
Atoms (fractional coordinates):
Ca: 0.0000 0.0000 0.0000
Ca: 0.2500 0.2500 0.2500
I: 0.4816 0.6909 0.2613
I: 0.6838 0.9887 0.5591
I: 0.6909 0.4816 0.5662
I: 0.9887 0.6838 0.7684
O: 0.0384 0.7339 0.9553
O: 0.0919 0.1413 0.7529
O: 0.1099 0.6704 0.5767
O: 0.1145 0.9485 0.3362
O: 0.1379 0.2924 0.7376
O: 0.1413 0.0919 0.0140
O: 0.2111 0.9053 0.6033
O: 0.2360 0.4971 0.1087
O: 0.2924 0.1379 0.8321
O: 0.2947 0.9776 0.2116
O: 0.4179 0.5124 0.9576
O: 0.4971 0.2360 0.1581
O: 0.5124 0.4179 0.1121
O: 0.6069 0.6733 0.5796
O: 0.6467 0.9697 0.0389
O: 0.6492 0.9138 0.3015
O: 0.6704 0.1099 0.6431
O: 0.6733 0.6069 0.1401
O: 0.7339 0.0384 0.2724
O: 0.9053 0.2111 0.2803
O: 0.9138 0.6492 0.1355
O: 0.9485 0.1145 0.6008
O: 0.9697 0.6467 0.3447
O: 0.9776 0.2947 0.5161

Main lines, low angle first (2θ from 5° to 70°):
d = 6.957 Å, 12.72°, intensity 59
d = 6.271 Å, 14.12°, intensity 29
d = 5.288 Å, 16.77°, intensity 100
d = 4.210 Å, 21.10°, intensity 43
d = 3.721 Å, 23.91°, intensity 62
d = 3.382 Å, 26.35°, intensity 29
d = 3.277 Å, 27.21°, intensity 33
d = 3.218 Å, 27.72°, intensity 30
d = 2.921 Å, 30.61°, intensity 29
d = 2.362 Å, 38.09°, intensity 26

---

Entry 3:
Starting from the PBE geometry in the Materials Project, the powder XRD pattern of KNdS2 was computed for Cu Kα X-rays.
No peak broadening, texture or thermal motion is included.

Cell and atoms:
abc: 4.2117 4.2117 22.1123
angles: 90.00 90.00 120.00
Atoms (fractional coordinates):
K: 0.0000 0.0000 0.0000
K: 0.3333 0.6667 0.6667
K: 0.6667 0.3333 0.3333
Nd: 0.0000 0.0000 0.5000
Nd: 0.3333 0.6667 0.1667
Nd: 0.6667 0.3333 0.8333
S: 0.0000 0.0000 0.2355
S: 0.0000 0.0000 0.7645
S: 0.3333 0.6667 0.4312
S: 0.3333 0.6667 0.9022
S: 0.6667 0.3333 0.0978
S: 0.6667 0.3333 0.5688

Main lines, low angle first (2θ from 5° to 70°):
d = 7.371 Å, 12.01°, intensity 63
d = 3.685 Å, 24.15°, intensity 14
d = 3.599 Å, 24.74°, intensity 23
d = 3.464 Å, 25.72°, intensity 31
d = 3.044 Å, 29.34°, intensity 100
d = 2.388 Å, 37.67°, intensity 17
d = 2.203 Å, 40.97°, intensity 35
d = 2.106 Å, 42.95°, intensity 35
d = 2.025 Å, 44.76°, intensity 15
d = 1.732 Å, 52.86°, intensity 18

---

Entry 4:
Starting from the PBE geometry in the Materials Project, the powder XRD pattern of SrIrO3 was computed for Cu Kα X-rays.
No peak broadening, texture or thermal motion is included.

Cell and atoms:
abc: 5.6118 5.6118 14.3776
angles: 91.78 91.78 119.48
Atoms (fractional coordinates):
Sr: 0.0098 0.9902 0.7500
Sr: 0.3179 0.6541 0.3978
Sr: 0.3459 0.6821 0.1022
Sr: 0.6541 0.3179 0.8978
Sr: 0.6821 0.3459 0.6022
Sr: 0.9902 0.0098 0.2500
Ir: 0.0000 0.0000 0.0000
Ir: 0.0000 0.0000 0.5000
Ir: 0.3156 0.6423 0.8481
Ir: 0.3577 0.6844 0.6519
Ir: 0.6423 0.3156 0.3481
Ir: 0.6844 0.3577 0.1519
O: 0.0371 0.5081 0.7354
O: 0.0685 0.7712 0.9054
O: 0.0741 0.2639 0.8982
O: 0.2095 0.4032 0.5419
O: 0.2288 0.9315 0.5946
O: 0.2639 0.0741 0.3982
O: 0.4032 0.2095 0.0419
O: 0.4919 0.9629 0.7646
O: 0.4951 0.5049 0.7500
O: 0.5049 0.4951 0.2500
O: 0.5081 0.0371 0.2354
O: 0.5968 0.7905 0.9581
O: 0.7361 0.9259 0.6018
O: 0.7712 0.0685 0.4054
O: 0.7905 0.5968 0.4581
O: 0.9259 0.7361 0.1018
O: 0.9315 0.2288 0.0946
O: 0.9629 0.4919 0.2646

Main lines, low angle first (2θ from 5° to 70°):
d = 4.696 Å, 18.90°, intensity 18
d = 4.592 Å, 19.33°, intensity 20
d = 4.545 Å, 19.53°, intensity 24
d = 2.967 Å, 30.12°, intensity 44
d = 2.884 Å, 31.01°, intensity 40
d = 2.821 Å, 31.72°, intensity 80
d = 2.804 Å, 31.91°, intensity 100
d = 2.069 Å, 43.75°, intensity 19
d = 2.008 Å, 45.15°, intensity 21
d = 1.626 Å, 56.60°, intensity 20

---

Entry 5:
Starting from the PBE geometry in the Materials Project, the powder XRD pattern of CaBi2Br2O3 was computed for Cu Kα X-rays.
No peak broadening, texture or thermal motion is included.

Cell and atoms:
abc: 4.0587 4.0587 21.2079
angles: 90.00 90.00 90.00
Atoms (fractional coordinates):
Ca: 0.2500 0.2500 0.2360
Ca: 0.7500 0.7500 0.7640
Bi: 0.2500 0.2500 0.4436
Bi: 0.2500 0.2500 0.8611
Bi: 0.7500 0.7500 0.1389
Bi: 0.7500 0.7500 0.5564
Br: 0.2500 0.2500 0.0603
Br: 0.2500 0.2500 0.6368
Br: 0.7500 0.7500 0.3632
Br: 0.7500 0.7500 0.9397
O: 0.2500 0.7500 0.1943
O: 0.2500 0.7500 0.5000
O: 0.2500 0.7500 0.8057
O: 0.7500 0.2500 0.1943
O: 0.7500 0.2500 0.5000
O: 0.7500 0.2500 0.8057

Main lines, low angle first (2θ from 5° to 70°):
d = 10.604 Å, 8.34°, intensity 17
d = 7.069 Å, 12.52°, intensity 31
d = 3.791 Å, 23.47°, intensity 19
d = 2.932 Å, 30.48°, intensity 100
d = 2.870 Å, 31.16°, intensity 44
d = 2.524 Å, 35.57°, intensity 9
d = 2.038 Å, 44.46°, intensity 9
d = 2.029 Å, 44.65°, intensity 23
d = 1.706 Å, 53.74°, intensity 17
d = 1.669 Å, 55.03°, intensity 38

---

Entry 6:
Starting from the PBE geometry in the Materials Project, the powder XRD pattern of Ce4Ge9Rh13 was computed for Cu Kα X-rays.
No peak broadening, texture or thermal motion is included.

Cell and atoms:
abc: 3.9819 11.3827 19.6760
angles: 90.00 90.00 90.00
Atoms (fractional coordinates):
Ce: 0.2500 0.0603 0.2080
Ce: 0.2500 0.2500 0.0213
Ce: 0.2500 0.4397 0.2080
Ce: 0.2500 0.7500 0.5202
Ce: 0.7500 0.2500 0.4798
Ce: 0.7500 0.5603 0.7920
Ce: 0.7500 0.7500 0.9787
Ce: 0.7500 0.9397 0.7920
Ge: 0.2500 0.0666 0.4152
Ge: 0.2500 0.1238 0.7298
Ge: 0.2500 0.2500 0.6027
Ge: 0.2500 0.3762 0.7298
Ge: 0.2500 0.4334 0.4152
Ge: 0.2500 0.5613 0.9192
Ge: 0.2500 0.7500 0.1019
Ge: 0.2500 0.7500 0.7308
Ge: 0.2500 0.9387 0.9192
Ge: 0.7500 0.0613 0.0808
Ge: 0.7500 0.2500 0.2692
Ge: 0.7500 0.2500 0.8981
Ge: 0.7500 0.4387 0.0808
Ge: 0.7500 0.5666 0.5848
Ge: 0.7500 0.6238 0.2702
Ge: 0.7500 0.7500 0.3973
Ge: 0.7500 0.8762 0.2702
Ge: 0.7500 0.9334 0.5848
Rh: 0.2500 0.0587 0.5407
Rh: 0.2500 0.1268 0.8569
Rh: 0.2500 0.2500 0.3440
Rh: 0.2500 0.3732 0.8569
Rh: 0.2500 0.4413 0.5407
Rh: 0.2500 0.5505 0.0462
Rh: 0.2500 0.5648 0.6648
Rh: 0.2500 0.6233 0.3546
Rh: 0.2500 0.7500 0.2274
Rh: 0.2500 0.7500 0.8570
Rh: 0.2500 0.8767 0.3546
Rh: 0.2500 0.9352 0.6648
Rh: 0.2500 0.9495 0.0462
Rh: 0.7500 0.0505 0.9538
Rh: 0.7500 0.0648 0.3352
Rh: 0.7500 0.1233 0.6454
Rh: 0.7500 0.2500 0.1430
Rh: 0.7500 0.2500 0.7726
Rh: 0.7500 0.3767 0.6454
Rh: 0.7500 0.4352 0.3352
Rh: 0.7500 0.4495 0.9538
Rh: 0.7500 0.5587 0.4593
Rh: 0.7500 0.6268 0.1431
Rh: 0.7500 0.7500 0.6560
Rh: 0.7500 0.8732 0.1431
Rh: 0.7500 0.9413 0.4593

Main lines, low angle first (2θ from 5° to 70°):
d = 2.719 Å, 32.94°, intensity 19
d = 2.533 Å, 35.44°, intensity 100
d = 2.259 Å, 39.90°, intensity 22
d = 2.252 Å, 40.03°, intensity 12
d = 1.991 Å, 45.56°, intensity 28
d = 1.965 Å, 46.20°, intensity 18
d = 1.895 Å, 48.00°, intensity 25
d = 1.766 Å, 51.78°, intensity 14
d = 1.494 Å, 62.14°, intensity 12
d = 1.373 Å, 68.33°, intensity 18

---

Entry 7:
Starting from the PBE geometry in the Materials Project, the powder XRD pattern of HfGaRh2 was computed for Cu Kα X-rays.
No peak broadening, texture or thermal motion is included.

Cell and atoms:
abc: 6.3187 6.3187 6.3187
angles: 90.00 90.00 90.00
Atoms (fractional coordinates):
Hf: 0.0000 0.0000 0.0000
Hf: 0.0000 0.5000 0.5000
Hf: 0.5000 0.0000 0.5000
Hf: 0.5000 0.5000 0.0000
Ga: 0.0000 0.0000 0.5000
Ga: 0.0000 0.5000 0.0000
Ga: 0.5000 0.0000 0.0000
Ga: 0.5000 0.5000 0.5000
Rh: 0.2500 0.2500 0.2500
Rh: 0.2500 0.2500 0.7500
Rh: 0.2500 0.7500 0.2500
Rh: 0.2500 0.7500 0.7500
Rh: 0.7500 0.2500 0.2500
Rh: 0.7500 0.2500 0.7500
Rh: 0.7500 0.7500 0.2500
Rh: 0.7500 0.7500 0.7500

Main lines, low angle first (2θ from 5° to 70°):
d = 3.648 Å, 24.40°, intensity 12
d = 3.159 Å, 28.25°, intensity 1
d = 2.234 Å, 40.37°, intensity 100
d = 1.905 Å, 47.74°, intensity 6
d = 1.580 Å, 58.42°, intensity 17
d = 1.450 Å, 64.26°, intensity 3

---

Entry 8:
Starting from the PBE geometry in the Materials Project, the powder XRD pattern of Tl2SnO3 was computed for Cu Kα X-rays.
No peak broadening, texture or thermal motion is included.

Cell and atoms:
abc: 10.4188 3.2997 12.7361
angles: 90.00 90.00 90.00
Atoms (fractional coordinates):
Tl: 0.1364 0.2500 0.1053
Tl: 0.2081 0.7500 0.8456
Tl: 0.2919 0.2500 0.3456
Tl: 0.3636 0.7500 0.6053
Tl: 0.6364 0.2500 0.3947
Tl: 0.7081 0.7500 0.6544
Tl: 0.7919 0.2500 0.1544
Tl: 0.8636 0.7500 0.8947
Sn: 0.0390 0.2500 0.6097
Sn: 0.4610 0.7500 0.1097
Sn: 0.5390 0.2500 0.8903
Sn: 0.9610 0.7500 0.3903
O: 0.0425 0.2500 0.3098
O: 0.1062 0.7500 0.5098
O: 0.2105 0.2500 0.6894
O: 0.2895 0.7500 0.1894
O: 0.3938 0.2500 0.0098
O: 0.4575 0.7500 0.8098
O: 0.5425 0.2500 0.1902
O: 0.6062 0.7500 0.9902
O: 0.7105 0.2500 0.8106
O: 0.7895 0.7500 0.3106
O: 0.8938 0.2500 0.4902
O: 0.9575 0.7500 0.6902

Main lines, low angle first (2θ from 5° to 70°):
d = 3.351 Å, 26.60°, intensity 65
d = 3.187 Å, 27.99°, intensity 100
d = 3.048 Å, 29.30°, intensity 89
d = 2.820 Å, 31.73°, intensity 87
d = 2.723 Å, 32.89°, intensity 42
d = 2.688 Å, 33.33°, intensity 32
d = 2.527 Å, 35.52°, intensity 24
d = 2.239 Å, 40.28°, intensity 32
d = 1.720 Å, 53.26°, intensity 30
d = 1.451 Å, 64.19°, intensity 21

---

Entry 9:
Starting from the PBE geometry in the Materials Project, the powder XRD pattern of ScFe2Si2 was computed for Cu Kα X-rays.
No peak broadening, texture or thermal motion is included.

Cell and atoms:
abc: 7.4473 7.0632 4.9841
angles: 90.00 90.00 90.00
Atoms (fractional coordinates):
Sc: 0.2483 0.0942 0.2500
Sc: 0.2483 0.4058 0.7500
Sc: 0.7517 0.5942 0.2500
Sc: 0.7517 0.9058 0.7500
Fe: 0.1159 0.0113 0.7500
Fe: 0.1159 0.4887 0.2500
Fe: 0.3829 0.7500 0.0000
Fe: 0.3829 0.7500 0.5000
Fe: 0.6171 0.2500 0.0000
Fe: 0.6171 0.2500 0.5000
Fe: 0.8841 0.5113 0.7500
Fe: 0.8841 0.9887 0.2500
Si: 0.0495 0.7500 0.0000
Si: 0.0495 0.7500 0.5000
Si: 0.4171 0.0499 0.7500
Si: 0.4171 0.4501 0.2500
Si: 0.5829 0.5499 0.7500
Si: 0.5829 0.9501 0.2500
Si: 0.9505 0.2500 0.0000
Si: 0.9505 0.2500 0.5000

Main lines, low angle first (2θ from 5° to 70°):
d = 3.294 Å, 27.07°, intensity 18
d = 2.342 Å, 38.44°, intensity 31
d = 2.279 Å, 39.55°, intensity 21
d = 2.243 Å, 40.21°, intensity 100
d = 2.120 Å, 42.66°, intensity 83
d = 2.047 Å, 44.25°, intensity 18
d = 2.036 Å, 44.50°, intensity 100
d = 2.031 Å, 44.62°, intensity 22
d = 1.374 Å, 68.28°, intensity 19
d = 1.355 Å, 69.35°, intensity 17

---

Entry 10:
Starting from the PBE geometry in the Materials Project, the powder XRD pattern of Pr2BiO2 was computed for Cu Kα X-rays.
No peak broadening, texture or thermal motion is included.

Cell and atoms:
abc: 4.0593 4.0593 14.1692
angles: 90.00 90.00 90.00
Atoms (fractional coordinates):
Pr: 0.0000 0.0000 0.1654
Pr: 0.0000 0.0000 0.8346
Pr: 0.5000 0.5000 0.3346
Pr: 0.5000 0.5000 0.6654
Bi: 0.0000 0.0000 0.5000
Bi: 0.5000 0.5000 0.0000
O: 0.0000 0.5000 0.2500
O: 0.0000 0.5000 0.7500
O: 0.5000 0.0000 0.2500
O: 0.5000 0.0000 0.7500

Main lines, low angle first (2θ from 5° to 70°):
d = 3.079 Å, 29.00°, intensity 100
d = 2.870 Å, 31.16°, intensity 36
d = 2.660 Å, 33.69°, intensity 3
d = 2.362 Å, 38.11°, intensity 11
d = 2.030 Å, 44.65°, intensity 18
d = 1.824 Å, 50.01°, intensity 25
d = 1.695 Å, 54.12°, intensity 36
d = 1.539 Å, 60.11°, intensity 12
d = 1.468 Å, 63.36°, intensity 11
d = 1.435 Å, 64.98°, intensity 6

---

Entry 11:
Starting from the PBE geometry in the Materials Project, the powder XRD pattern of K2HBrO was computed for Cu Kα X-rays.
No peak broadening, texture or thermal motion is included.

Cell and atoms:
abc: 6.8320 4.3170 8.5933
angles: 90.00 108.15 90.00
Atoms (fractional coordinates):
K: 0.2058 0.2500 0.3838
K: 0.2091 0.2500 0.9646
K: 0.7909 0.7500 0.0354
K: 0.7942 0.7500 0.6162
H: 0.3362 0.7500 0.2113
H: 0.6638 0.2500 0.7887
Br: 0.3194 0.7500 0.6999
Br: 0.6806 0.2500 0.3001
O: 0.1858 0.7500 0.1728
O: 0.8142 0.2500 0.8272

Main lines, low angle first (2θ from 5° to 70°):
d = 3.817 Å, 23.31°, intensity 44
d = 3.522 Å, 25.29°, intensity 19
d = 3.402 Å, 26.19°, intensity 17
d = 3.246 Å, 27.48°, intensity 44
d = 2.965 Å, 30.14°, intensity 100
d = 2.722 Å, 32.90°, intensity 16
d = 2.594 Å, 34.57°, intensity 22
d = 2.491 Å, 36.06°, intensity 56
d = 2.159 Å, 41.85°, intensity 23
d = 1.797 Å, 50.82°, intensity 18

---

Repeat the tenth record exactly.
Starting from the PBE geometry in the Materials Project, the powder XRD pattern of Pr2BiO2 was computed for Cu Kα X-rays.
No peak broadening, texture or thermal motion is included.

Cell and atoms:
abc: 4.0593 4.0593 14.1692
angles: 90.00 90.00 90.00
Atoms (fractional coordinates):
Pr: 0.0000 0.0000 0.1654
Pr: 0.0000 0.0000 0.8346
Pr: 0.5000 0.5000 0.3346
Pr: 0.5000 0.5000 0.6654
Bi: 0.0000 0.0000 0.5000
Bi: 0.5000 0.5000 0.0000
O: 0.0000 0.5000 0.2500
O: 0.0000 0.5000 0.7500
O: 0.5000 0.0000 0.2500
O: 0.5000 0.0000 0.7500

Main lines, low angle first (2θ from 5° to 70°):
d = 3.079 Å, 29.00°, intensity 100
d = 2.870 Å, 31.16°, intensity 36
d = 2.660 Å, 33.69°, intensity 3
d = 2.362 Å, 38.11°, intensity 11
d = 2.030 Å, 44.65°, intensity 18
d = 1.824 Å, 50.01°, intensity 25
d = 1.695 Å, 54.12°, intensity 36
d = 1.539 Å, 60.11°, intensity 12
d = 1.468 Å, 63.36°, intensity 11
d = 1.435 Å, 64.98°, intensity 6